[1]
Li7Fe4P6O24: simulated X-ray powder pattern (copper Kα), based on a PBE+U-relaxed structure.
Kinematic intensities with the Lorentz-polarization factor, no thermal factor.

Most intense lines, 5 to 70 degrees two-theta, by intensity:
hkl 0 1 1, 14.3°, intensity 100
hkl 0 1 -1, 19.7°, intensity 86
hkl 1 2 0, 24.0°, intensity 82
hkl 1 -1 1, 24.1°, intensity 82
hkl -1 1 2, 31.5°, intensity 62
hkl 0 2 2, 28.9°, intensity 62
hkl 2 1 3, 31.7°, intensity 59
hkl 0 3 1, 36.7°, intensity 36
hkl 1 1 2, 19.8°, intensity 33
hkl 2 1 1, 20.9°, intensity 32

Cell and atoms:
Unit cell a=8.4859 b=8.4925 c=9.0054 alpha=62.10 beta=62.37 gamma=60.09
Space group P1 (No. 1)
One atom of each set of equivalent atoms:
Li  0.0000  0.0000  0.0000 [1 per cell]
Li  0.0276  0.0024  0.3951 [1 per cell]
Li  0.1356  0.5202  0.4863 [1 per cell]
Li  0.3128  0.2019  0.1965 [1 per cell]
Li  0.4938  0.6335  0.7046 [1 per cell]
Li  0.5706  0.5942  0.1885 [1 per cell]
Li  0.8308  0.1476  0.6950 [1 per cell]
Fe  0.0803  0.7113  0.7788 [1 per cell]
Fe  0.3803  0.0014  0.9022 [1 per cell]
Fe  0.5886  0.2060  0.2935 [1 per cell]
Fe  0.8704  0.5139  0.3863 [1 per cell]
P  0.1919  0.1041  0.5901 [1 per cell]
P  0.2797  0.6028  0.0930 [1 per cell]
P  0.4646  0.4034  0.5899 [1 per cell]
P  0.6908  0.9109  0.0825 [1 per cell]
P  0.7644  0.8245  0.5940 [1 per cell]
P  0.9814  0.3161  0.0929 [1 per cell]
O  0.0255  0.4811  0.9304 [1 per cell]
O  0.0284  0.2957  0.2506 [1 per cell]
O  0.0396  0.3078  0.5748 [1 per cell]
O  0.0930  0.6252  0.2470 [1 per cell]
O  0.1022  0.9802  0.5906 [1 per cell]
O  0.1042  0.1164  0.0616 [1 per cell]
O  0.2308  0.0183  0.7685 [1 per cell]
O  0.2470  0.6568  0.9170 [1 per cell]
O  0.3363  0.6028  0.6171 [1 per cell]
O  0.3686  0.7366  0.0729 [1 per cell]
O  0.3754  0.0994  0.4310 [1 per cell]
O  0.3953  0.2487  0.7444 [1 per cell]
O  0.4228  0.3929  0.1283 [1 per cell]
O  0.4464  0.4160  0.4189 [1 per cell]
O  0.4899  0.0177  0.0565 [1 per cell]
O  0.6290  0.8535  0.7730 [1 per cell]
O  0.6680  0.3711  0.5719 [1 per cell]
O  0.7076  0.7079  0.2078 [1 per cell]
O  0.7213  0.6966  0.5528 [1 per cell]
O  0.7263  0.0291  0.1461 [1 per cell]
O  0.7557  0.0229  0.4477 [1 per cell]
O  0.7685  0.3505  0.1417 [1 per cell]
O  0.8526  0.9085  0.9007 [1 per cell]
O  0.9765  0.7343  0.5963 [1 per cell]

[2]
LiFePO4: simulated X-ray powder pattern (copper Kα), based on a PBE+U-relaxed structure.
Kinematic intensities with the Lorentz-polarization factor, no thermal factor.

Most intense lines, 5 to 70 degrees two-theta, by intensity:
hkl 1 2 0, 26.0°, intensity 100
hkl 1 0 0, 17.4°, intensity 48
hkl 0 2 2, 30.4°, intensity 46
hkl 0 1 2, 23.4°, intensity 45
hkl 1 2 -1, 28.9°, intensity 40
hkl 0 2 -2, 33.1°, intensity 35
hkl 1 2 1, 27.3°, intensity 35
hkl 1 0 1, 20.4°, intensity 35
hkl 0 2 1, 24.8°, intensity 33
hkl 1 2 2, 32.5°, intensity 31

Cell and atoms:
Unit cell a=5.2301 b=7.8457 c=8.3739 alpha=85.15 beta=88.72 gamma=77.56
Space group P-1 (No. 2)
One atom of each set of equivalent atoms:
Li  0.1832  0.3272  0.0705 [2 per cell]
Li  0.2301  0.8150  0.3974 [2 per cell]
Fe  0.3208  0.5548  0.7243 [2 per cell]
Fe  0.3332  0.0511  0.8012 [2 per cell]
P  0.2576  0.7184  0.0632 [2 per cell]
P  0.2654  0.2083  0.4142 [2 per cell]
O  0.0275  0.1796  0.9204 [2 per cell]
O  0.0633  0.3425  0.3084 [2 per cell]
O  0.1481  0.1705  0.5816 [2 per cell]
O  0.2371  0.5601  0.9674 [2 per cell]
O  0.3374  0.0364  0.3266 [2 per cell]
O  0.3817  0.6564  0.2313 [2 per cell]
O  0.4354  0.8311  0.9727 [2 per cell]
O  0.4850  0.7148  0.5701 [2 per cell]

[3]
LiFe2P2O8: simulated X-ray powder pattern (copper Kα), based on a PBE+U-relaxed structure.
Kinematic intensities with the Lorentz-polarization factor, no thermal factor.

Most intense lines, 5 to 70 degrees two-theta, by intensity:
hkl 1 1 -1, 21.1°, intensity 100
hkl 2 0 0, 21.4°, intensity 61
hkl 1 0 2, 27.5°, intensity 45
hkl 0 2 0, 34.2°, intensity 25
hkl 0 1 3, 37.6°, intensity 20
hkl 0 0 2, 22.0°, intensity 17
hkl 3 0 2, 45.3°, intensity 16
hkl 2 1 -1, 26.8°, intensity 16
hkl 2 1 -2, 30.6°, intensity 15
hkl 0 1 1, 20.2°, intensity 11

Cell and atoms:
Unit cell a=8.7740 b=5.2455 c=8.5372 alpha=90.00 beta=108.81 gamma=90.00
Space group Pc (No. 7)
One atom of each set of equivalent atoms:
Li  0.0000  0.1757  0.0000 [2 per cell]
Fe  0.2893  0.3169  0.9081 [2 per cell]
Fe  0.7654  0.1939  0.2441 [2 per cell]
P  0.3937  0.1863  0.2649 [2 per cell]
P  0.9070  0.3111  0.6371 [2 per cell]
O  0.0682  0.2725  0.7866 [2 per cell]
O  0.2411  0.2159  0.1052 [2 per cell]
O  0.3635  0.3487  0.4039 [2 per cell]
O  0.4114  0.0945  0.8237 [2 per cell]
O  0.5360  0.2744  0.2135 [2 per cell]
O  0.7749  0.1852  0.6920 [2 per cell]
O  0.8770  0.3985  0.1082 [2 per cell]
O  0.9289  0.1837  0.4819 [2 per cell]

[4]
Li2FeP4O12: simulated X-ray powder pattern (copper Kα), based on a PBE+U-relaxed structure.
Kinematic intensities with the Lorentz-polarization factor, no thermal factor.

Most intense lines, 5 to 70 degrees two-theta, by intensity:
hkl 1 1 -1, 25.5°, intensity 100
hkl 0 0 1, 13.0°, intensity 51
hkl 1 -2 0, 27.4°, intensity 51
hkl 1 -1 0, 18.5°, intensity 33
hkl 1 -1 2, 31.0°, intensity 28
hkl -1 1 2, 33.5°, intensity 24
hkl 1 0 -1, 20.2°, intensity 23
hkl 0 0 2, 26.2°, intensity 22
hkl 0 1 1, 22.2°, intensity 19
hkl 1 1 -2, 30.9°, intensity 17

Cell and atoms:
Unit cell a=5.2726 b=7.1973 c=7.2882 alpha=108.24 beta=94.24 gamma=107.81
Space group P-1 (No. 2)
One atom of each set of equivalent atoms:
Li  0.1521  0.2214  0.0585 [2 per cell]
Fe  0.5000  0.5000  0.5000 [1 per cell]
P  0.1746  0.7124  0.2933 [2 per cell]
P  0.3562  0.9159  0.7242 [2 per cell]
O  0.0681  0.3140  0.8410 [2 per cell]
O  0.1553  0.8423  0.5155 [2 per cell]
O  0.1929  0.9412  0.8824 [2 per cell]
O  0.2325  0.5187  0.2983 [2 per cell]
O  0.4521  0.8557  0.2558 [2 per cell]
O  0.4799  0.2279  0.2945 [2 per cell]

[5]
Li2FeP2O7: simulated X-ray powder pattern (copper Kα), based on a PBE+U-relaxed structure.
Kinematic intensities with the Lorentz-polarization factor, no thermal factor.

Most intense lines, 5 to 70 degrees two-theta, by intensity:
hkl 1 2 2, 23.6°, intensity 100
hkl 1 0 1, 17.8°, intensity 87
hkl 0 2 2, 22.2°, intensity 82
hkl 0 1 1, 11.1°, intensity 72
hkl 0 0 2, 18.6°, intensity 66
hkl 0 3 2, 30.6°, intensity 62
hkl 2 2 -1, 33.4°, intensity 57
hkl 1 -1 0, 20.5°, intensity 42
hkl 2 0 1, 31.0°, intensity 41
hkl 1 -2 0, 29.7°, intensity 37

Cell and atoms:
Unit cell a=6.5850 b=9.3107 c=10.4438 alpha=66.64 beta=88.51 gamma=72.71
Space group P1 (No. 1)
One atom of each set of equivalent atoms:
Li  0.0000  0.0000  0.0000 [1 per cell]
Li  0.0022  0.3813  0.0875 [1 per cell]
Li  0.1202  0.0801  0.6182 [1 per cell]
Li  0.2303  0.7256  0.6229 [1 per cell]
Li  0.3027  0.7878  0.2329 [1 per cell]
Li  0.5330  0.9677  0.5035 [1 per cell]
Li  0.5751  0.3988  0.1550 [1 per cell]
Li  0.8148  0.8179  0.7474 [1 per cell]
Fe  0.4445  0.9925  0.9073 [1 per cell]
Fe  0.5390  0.3817  0.8726 [1 per cell]
Fe  0.8083  0.3961  0.3874 [1 per cell]
Fe  0.8849  0.7840  0.3477 [1 per cell]
P  0.0502  0.3352  0.8258 [1 per cell]
P  0.0870  0.0725  0.3275 [1 per cell]
P  0.2415  0.7018  0.9285 [1 per cell]
P  0.2971  0.4395  0.4267 [1 per cell]
P  0.4717  0.0836  0.1805 [1 per cell]
P  0.6123  0.1808  0.6624 [1 per cell]
P  0.7284  0.6006  0.5935 [1 per cell]
P  0.8539  0.6942  0.0710 [1 per cell]
O  0.0638  0.9521  0.2670 [1 per cell]
O  0.0823  0.6035  0.0275 [1 per cell]
O  0.1293  0.7916  0.7776 [1 per cell]
O  0.1339  0.3526  0.4275 [1 per cell]
O  0.1405  0.1563  0.8375 [1 per cell]
O  0.1962  0.6207  0.4056 [1 per cell]
O  0.2071  0.9826  0.4767 [1 per cell]
O  0.2164  0.4153  0.8316 [1 per cell]
O  0.2385  0.1725  0.2212 [1 per cell]
O  0.2551  0.8238  0.9910 [1 per cell]
O  0.4195  0.3493  0.5849 [1 per cell]
O  0.4293  0.9750  0.1126 [1 per cell]
O  0.4496  0.5651  0.9538 [1 per cell]
O  0.4739  0.4226  0.3298 [1 per cell]
O  0.5320  0.5854  0.6712 [1 per cell]
O  0.5423  0.0362  0.6614 [1 per cell]
O  0.5456  0.2261  0.0873 [1 per cell]
O  0.6096  0.9776  0.3217 [1 per cell]
O  0.6300  0.1664  0.8151 [1 per cell]
O  0.7113  0.6096  0.4425 [1 per cell]
O  0.7143  0.8008  0.9307 [1 per cell]
O  0.7878  0.5452  0.1634 [1 per cell]
O  0.7978  0.7472  0.5898 [1 per cell]
O  0.8116  0.1953  0.5876 [1 per cell]
O  0.8822  0.3479  0.9299 [1 per cell]
O  0.8827  0.2128  0.3046 [1 per cell]
O  0.8951  0.8010  0.1407 [1 per cell]
O  0.9225  0.4333  0.6703 [1 per cell]

[6]
LiFe2P3O10: simulated X-ray powder pattern (copper Kα), based on a PBE+U-relaxed structure.
Kinematic intensities with the Lorentz-polarization factor, no thermal factor.

Most intense lines, 5 to 70 degrees two-theta, by intensity:
hkl 1 2 0, 28.0°, intensity 100
hkl 0 0 1, 9.8°, intensity 45
hkl 1 0 -3, 33.5°, intensity 38
hkl 1 1 2, 30.8°, intensity 34
hkl 1 1 1, 24.6°, intensity 30
hkl 1 0 -2, 25.8°, intensity 26
hkl 0 2 3, 36.3°, intensity 20
hkl 1 0 -1, 20.4°, intensity 19
hkl 1 3 2, 42.8°, intensity 19
hkl 2 3 2, 56.1°, intensity 18

Cell and atoms:
Unit cell a=4.7037 b=8.7013 c=9.0982 alpha=90.00 beta=96.45 gamma=90.00
Space group P2_1/m (No. 11)
One atom of each set of equivalent atoms:
Li  0.0000  0.0000  0.0000 [2 per cell]
Fe  0.0335  0.0686  0.3338 [4 per cell]
P  0.3319  0.2500  0.8233 [2 per cell]
P  0.3984  0.7500  0.4653 [2 per cell]
P  0.4588  0.2500  0.1424 [2 per cell]
O  0.1635  0.1017  0.8163 [4 per cell]
O  0.2284  0.6021  0.4873 [4 per cell]
O  0.2483  0.7500  0.7655 [2 per cell]
O  0.2838  0.1030  0.1571 [4 per cell]
O  0.3034  0.2500  0.4486 [2 per cell]
O  0.4356  0.7500  0.2901 [2 per cell]
O  0.4499  0.7500  0.0267 [2 per cell]